(1)
The following is a theoretical XRD peak list of MoW2Se4S2. It was derived from a DFT-relaxed cell (GGA-PBE, the Materials Project), using Cu Kα (weighted mean of Kα1 and Kα2).
Intensities are scaled so that the largest is 100.

Main lines, in order of rising 2θ (2θ = 10–90°):
- 2θ 11.71, intensity 100.0, hkl 0 0 4
- 2θ 14.66, intensity 16.1, hkl 0 0 5
- 2θ 31.54, intensity 25.5, hkl 1 0 0
- 2θ 33.76, intensity 19.0, hkl 1 0 4
- 2θ 36.35, intensity 37.8, hkl 0 1 6
- 2θ 37.96, intensity 42.8, hkl 1 0 7
- 2θ 43.77, intensity 17.2, hkl 0 1 10
- 2θ 45.99, intensity 35.6, hkl 1 0 11
- 2θ 56.19, intensity 21.6, hkl 1 1 0
- 2θ 57.60, intensity 10.4, hkl 1 1 4

Structural model:
```
MoW2Se4S2
1.0
3.2750 0.0000 0.0000
-1.6375 2.8363 0.0000
0.0000 0.0000 30.2204
Mo W Se S
1 2 4 2
Direct
0.0000 0.0000 0.0000
0.6667 0.3333 0.2314
0.6667 0.3333 0.7687
0.0000 0.0000 0.1751
0.0000 0.0000 0.2877
0.6667 0.3333 0.0559
0.6667 0.3333 0.9441
0.0000 0.0000 0.7176
0.0000 0.0000 0.8198
```

---

(2)
The following is a theoretical XRD peak list of Li5Cu2Ge2. It was derived from a DFT-relaxed cell (GGA-PBE, the Materials Project), using Cu Kα (weighted mean of Kα1 and Kα2).
Intensities are scaled so that the largest is 100.

Main lines, in order of rising 2θ (2θ = 10–90°):
- 2θ 22.07, intensity 91.4, hkl 0 0 2
- 2θ 26.74, intensity 100.0, hkl 0 1 1
- 2θ 41.71, intensity 74.7, hkl 0 1 3
- 2θ 42.78, intensity 82.0, hkl 1 1 0
- 2θ 48.64, intensity 64.5, hkl 1 1 2
- 2θ 51.17, intensity 16.3, hkl 2 0 1
- 2θ 61.28, intensity 22.9, hkl 2 0 3
- 2θ 63.03, intensity 18.1, hkl 0 1 5
- 2θ 68.83, intensity 13.0, hkl 1 2 1
- 2θ 77.61, intensity 22.1, hkl 1 2 3

Structural model:
```
Li5Cu2Ge2
1.0
4.2280 0.0000 0.0000
-2.1140 3.6615 0.0000
0.0000 0.0000 8.0561
Li Cu Ge
5 2 2
Direct
0.0000 0.0000 0.0000
0.3333 0.6667 0.1141
0.3333 0.6667 0.4313
0.6667 0.3333 0.5687
0.6667 0.3333 0.8859
0.0000 0.0000 0.3081
0.0000 0.0000 0.6919
0.3333 0.6667 0.7589
0.6667 0.3333 0.2411
```